Computed X-ray powder pattern
Compound: Li2Al6Ga
Radiation: CuKα
Structure: DFT lattice parameters and positions (GGA-PBE)
Neutral-atom scattering factors, no anomalous dispersion.

Top 10 peaks for 2θ = 5–70°, in order of rising 2θ:
2θ 14.7, intensity 39; 2θ 22.9, intensity 48; 2θ 24.9, intensity 23; 2θ 38.4, intensity 100; 2θ 38.8, intensity 96; 2θ 43.8, intensity 44; 2θ 45.2, intensity 31; 2θ 45.6, intensity 30; 2θ 64.7, intensity 21; 2θ 65.0, intensity 20

Cell and atoms:
Cell: 6.3199 6.3199 6.3716 Å, 108.07 108.07 38.20°
Sites, in units of the cell vectors:
Li 0.0527 0.0527 0.3230
Li 0.9473 0.9473 0.6770
Al 0.1678 0.1678 0.9982
Al 0.2741 0.2741 0.6601
Al 0.3865 0.3865 0.3342
Al 0.6135 0.6135 0.6658
Al 0.7259 0.7259 0.3399
Al 0.8322 0.8322 0.0018
Ga 0.5000 0.5000 0.0000

***

Computed X-ray powder pattern
Compound: Li4Al3Ga4
Radiation: CuKα
Structure: DFT lattice parameters and positions (GGA-PBE)
Neutral-atom scattering factors, no anomalous dispersion.

Top 10 peaks for 2θ = 5–70°, in order of rising 2θ:
2θ 18.3, intensity 23; 2θ 20.4, intensity 32; 2θ 22.2, intensity 68; 2θ 24.5, intensity 53; 2θ 25.4, intensity 71; 2θ 30.6, intensity 100; 2θ 39.8, intensity 65; 2θ 39.9, intensity 68; 2θ 41.1, intensity 55; 2θ 51.0, intensity 38

Cell and atoms:
Cell: 2.9207 4.3937 14.6910 Å, 81.58 89.38 89.32°
Sites, in units of the cell vectors:
Li 0.0029 0.4045 0.1863
Li 0.0041 0.2240 0.5540
Li 0.9959 0.7760 0.4460
Li 0.9971 0.5955 0.8137
Al 0.4995 0.1434 0.7198
Al 0.5000 0.5000 0.0000
Al 0.5005 0.8566 0.2802
Ga 0.4904 0.0509 0.9001
Ga 0.4978 0.6930 0.6197
Ga 0.5022 0.3070 0.3803
Ga 0.5096 0.9491 0.0999